# 1
The following is a theoretical XRD peak list of Sr6FeC2N7. It was derived from DFT lattice parameters and positions (GGA-PBE), using a wavelength of 1.5418 Å.

Structural model:
```
Sr6FeC2N7
1.0
9.9583 0.0000 0.0000
0.0000 14.8756 0.0000
0.0000 0.0000 3.8630
Sr Fe C N
12 2 4 14
Direct
0.0703 0.1099 0.0554
0.0971 0.6657 0.5110
0.2445 0.9433 0.5576
0.2555 0.4433 0.4424
0.4029 0.1657 0.4890
0.4297 0.6099 0.9446
0.5703 0.3901 0.9446
0.5971 0.8343 0.4890
0.7445 0.5567 0.4424
0.7555 0.0567 0.5576
0.9029 0.3343 0.5110
0.9297 0.8901 0.0554
0.0000 0.5000 0.9792
0.5000 0.0000 0.0208
0.2268 0.2804 0.8156
0.2732 0.7804 0.1844
0.7268 0.2196 0.1844
0.7732 0.7196 0.8156
0.0000 0.0000 0.5634
0.1328 0.2505 0.6388
0.1675 0.5552 0.9758
0.1710 0.8085 0.0345
0.3290 0.3085 0.9655
0.3325 0.0552 0.0242
0.3672 0.7505 0.3612
0.5000 0.5000 0.4366
0.6328 0.2495 0.3612
0.6675 0.9448 0.0242
0.6710 0.6915 0.9655
0.8290 0.1915 0.0345
0.8325 0.4448 0.9758
0.8672 0.7495 0.6388
```

Principal peaks in the range 2θ = 10–90°, by intensity:
2theta  d_spacing  I_rel
30.68  2.914  1000
29.47  3.031  987
34.67  2.587  744
31.69  2.824  441
29.88  2.990  398
29.27  3.052  284
31.38  2.851  280
56.48  1.629  258
57.65  1.599  257
47.07  1.931  246
43.70  2.071  239
11.90  7.438  219

# 2
The following is a theoretical XRD peak list of Pm2Al6ZnAg. It was derived from DFT lattice parameters and positions (GGA-PBE), using a wavelength of 1.5418 Å.

Structural model:
```
Pm2Al6ZnAg
1.0
3.1878 1.8405 12.0981
-3.1878 1.8405 12.0981
0.0000 -3.6809 12.0981
Pm Al Zn Ag
4 12 2 2
Direct
0.1388 0.1388 0.1388
0.3121 0.3121 0.3121
0.6879 0.6879 0.6879
0.8612 0.8612 0.8612
0.0555 0.6490 0.6490
0.1981 0.1981 0.7743
0.1981 0.7743 0.1981
0.2257 0.8019 0.8019
0.3510 0.3510 0.9445
0.3510 0.9445 0.3510
0.6490 0.0555 0.6490
0.6490 0.6490 0.0555
0.7743 0.1981 0.1981
0.8019 0.2257 0.8019
0.8019 0.8019 0.2257
0.9445 0.3510 0.3510
0.4211 0.4211 0.4211
0.5789 0.5789 0.5789
0.0000 0.0000 0.0000
0.5000 0.5000 0.5000
```

Principal peaks in the range 2θ = 10–90°, by intensity:
2theta  d_spacing  I_rel
27.99  3.188  1000
31.59  2.832  521
31.73  2.820  410
36.89  2.437  337
23.54  3.780  336
51.88  1.762  296
57.85  1.594  225
46.93  1.936  201
49.53  1.840  180
34.77  2.580  173
14.64  6.049  172
81.40  1.182  142

# 3
The following is a theoretical XRD peak list of PmHf2F11. It was derived from DFT lattice parameters and positions (GGA-PBE), using a wavelength of 1.5418 Å.

Structural model:
```
PmHf2F11
1.0
-3.8873 5.0098 5.4664
3.8873 -5.0098 5.4664
3.8873 5.0098 -5.4664
Pm Hf F
2 4 22
Direct
0.2500 0.2500 0.0000
0.7500 0.7500 0.0000
0.1813 0.6349 0.8162
0.3187 0.1349 0.4537
0.6813 0.8651 0.5463
0.8187 0.3651 0.1838
0.0000 0.5000 0.5000
0.0472 0.9650 0.2858
0.0535 0.3651 0.1585
0.1792 0.4650 0.9178
0.2067 0.8950 0.8415
0.2185 0.3706 0.5892
0.2815 0.8706 0.1521
0.2933 0.1349 0.6884
0.3208 0.2386 0.2858
0.4465 0.6050 0.3116
0.4528 0.7386 0.9178
0.5000 0.0000 0.5000
0.5472 0.2614 0.0822
0.5535 0.3950 0.6884
0.6792 0.7614 0.7142
0.7067 0.8651 0.3116
0.7185 0.1294 0.8479
0.7815 0.6294 0.4108
0.7933 0.1050 0.1585
0.8208 0.5350 0.0822
0.9465 0.6349 0.8415
0.9528 0.0350 0.7142
```

Principal peaks in the range 2θ = 10–90°, by intensity:
2theta  d_spacing  I_rel
21.76  4.083  1000
25.90  3.440  868
24.10  3.693  771
22.63  3.930  532
44.38  2.041  487
16.21  5.466  401
49.83  1.830  400
47.42  1.917  362
29.10  3.069  355
45.46  1.995  209
34.92  2.570  199
32.77  2.733  189

# 4
The following is a theoretical XRD peak list of ThNi5Ge2Pd. It was derived from DFT lattice parameters and positions (GGA-PBE), using a wavelength of 1.5418 Å.

Structural model:
```
ThNi5Ge2Pd
1.0
3.8797 0.0000 0.0000
0.0000 3.8797 0.0000
0.0000 0.0000 8.9891
Th Ni Ge Pd
1 5 2 1
Direct
0.0000 0.0000 0.0000
0.0000 0.5000 0.2229
0.0000 0.5000 0.7771
0.5000 0.0000 0.2229
0.5000 0.0000 0.7771
0.5000 0.5000 0.0000
0.5000 0.5000 0.3685
0.5000 0.5000 0.6315
0.0000 0.0000 0.5000
```

Principal peaks in the range 2θ = 10–90°, by intensity:
2theta  d_spacing  I_rel
38.44  2.342  1000
46.83  1.940  464
30.44  2.937  363
68.34  1.373  307
44.79  2.023  297
46.71  1.945  251
81.29  1.184  214
25.00  3.562  170
32.64  2.743  160
56.88  1.619  129
71.79  1.315  125
63.34  1.468  114

# 5
The following is a theoretical XRD peak list of SrCd3F8. It was derived from DFT lattice parameters and positions (GGA-PBE), using a wavelength of 1.5418 Å.

Structural model:
```
SrCd3F8
1.0
5.5801 0.0000 0.0000
0.0000 5.5801 0.0000
0.0000 0.0000 5.5801
Sr Cd F
1 3 8
Direct
0.0000 0.0000 0.0000
0.0000 0.5000 0.5000
0.5000 0.0000 0.5000
0.5000 0.5000 0.0000
0.2562 0.2562 0.2562
0.2562 0.2562 0.7438
0.2562 0.7438 0.2562
0.2562 0.7438 0.7438
0.7438 0.2562 0.2562
0.7438 0.2562 0.7438
0.7438 0.7438 0.2562
0.7438 0.7438 0.7438
```

Principal peaks in the range 2θ = 10–90°, by intensity:
2theta  d_spacing  I_rel
27.69  3.222  1000
46.00  1.973  657
54.54  1.682  432
32.08  2.790  202
85.19  1.139  188
74.06  1.280  170
67.09  1.395  95
76.32  1.248  83
57.19  1.611  58
15.88  5.580  16
22.53  3.946  9

# 6
The following is a theoretical XRD peak list of Rb2Li5B7O14. It was derived from DFT lattice parameters and positions (GGA-PBE), using a wavelength of 1.5418 Å.

Structural model:
```
Rb2Li5B7O14
1.0
21.2205 0.0000 0.0000
0.0000 6.8219 2.2277
0.0000 -6.8219 2.2277
Rb Li B O
4 10 14 28
Direct
0.1566 0.2052 0.7948
0.3434 0.2052 0.7948
0.6566 0.7948 0.2052
0.8434 0.7948 0.2052
0.0101 0.0974 0.9284
0.0620 0.5010 0.5310
0.2500 0.8454 0.1454
0.4380 0.5010 0.5310
0.4899 0.0974 0.9284
0.5101 0.9284 0.0974
0.5620 0.5310 0.5010
0.7500 0.1454 0.8454
0.9380 0.5310 0.5010
0.9899 0.9284 0.0974
0.0059 0.6899 0.2904
0.1273 0.9302 0.0499
0.1906 0.4417 0.5440
0.2500 0.6087 0.3904
0.3094 0.4417 0.5440
0.3727 0.9302 0.0499
0.4941 0.6899 0.2904
0.5059 0.2904 0.6899
0.6273 0.0499 0.9302
0.6906 0.5440 0.4417
0.7500 0.3904 0.6087
0.8094 0.5440 0.4417
0.8727 0.0499 0.9302
0.9941 0.2904 0.6899
0.0078 0.3930 0.9555
0.0161 0.6936 0.4749
0.0718 0.0591 0.0976
0.1360 0.6009 0.7658
0.1763 0.0937 0.2656
0.1929 0.5555 0.4395
0.2500 0.4924 0.6838
0.2500 0.7125 0.2957
0.3071 0.5555 0.4395
0.3237 0.0937 0.2656
0.3640 0.6009 0.7658
0.4282 0.0591 0.0976
0.4839 0.6936 0.4749
0.4922 0.3930 0.9555
0.5078 0.9555 0.3930
0.5161 0.4749 0.6936
0.5718 0.0976 0.0591
0.6360 0.7658 0.6009
0.6763 0.2656 0.0937
0.6929 0.4395 0.5555
0.7500 0.2957 0.7125
0.7500 0.6838 0.4924
0.8071 0.4395 0.5555
0.8237 0.2656 0.0937
0.8640 0.7658 0.6009
0.9282 0.0976 0.0591
0.9839 0.4749 0.6936
0.9922 0.9555 0.3930
```

Principal peaks in the range 2θ = 10–90°, by intensity:
2theta  d_spacing  I_rel
29.80  2.998  1000
26.47  3.368  841
28.39  3.144  820
21.39  4.153  715
25.18  3.537  665
38.04  2.366  348
40.49  2.228  334
38.69  2.327  333
33.71  2.658  328
26.94  3.310  319
35.25  2.546  292
32.82  2.729  257

# 7
The following is a theoretical XRD peak list of TbPm2SmS6. It was derived from DFT lattice parameters and positions (GGA-PBE), using a wavelength of 1.5418 Å.

Structural model:
```
TbPm2SmS6
1.0
3.5408 2.0443 6.2515
-3.5408 2.0443 6.2515
0.0000 -4.0886 6.2515
Tb Pm Sm S
1 2 1 6
Direct
0.0000 0.0000 0.0000
0.2967 0.2967 0.2967
0.7953 0.7953 0.7953
0.5020 0.5020 0.5020
0.1062 0.3891 0.7054
0.1981 0.8962 0.6080
0.3891 0.7054 0.1062
0.6080 0.1981 0.8962
0.7054 0.1062 0.3891
0.8962 0.6080 0.1981
```

Principal peaks in the range 2θ = 10–90°, by intensity:
2theta  d_spacing  I_rel
23.89  3.725  1000
25.15  3.541  973
38.41  2.343  747
34.96  2.566  499
43.56  2.078  498
44.31  2.044  492
17.28  5.133  372
57.63  1.599  281
50.91  1.794  244
63.85  1.458  235
60.06  1.540  192
77.60  1.230  168

# 8
The following is a theoretical XRD peak list of NaGeOsO5. It was derived from DFT lattice parameters and positions (GGA-PBE), using a wavelength of 1.5418 Å.

Structural model:
```
NaGeOsO5
1.0
3.4072 -4.4933 0.0000
3.4072 4.4933 0.0000
-3.0877 0.0000 6.6069
Na Ge Os O
2 2 2 10
Direct
0.1716 0.8284 0.7500
0.8284 0.1716 0.2500
0.1881 0.8119 0.2500
0.8119 0.1881 0.7500
0.5000 0.5000 0.0000
0.5000 0.5000 0.5000
0.1323 0.2548 0.9170
0.1887 0.6032 0.3968
0.2548 0.1323 0.4170
0.3968 0.8113 0.1032
0.4534 0.5466 0.7500
0.5466 0.4534 0.2500
0.6032 0.1887 0.8968
0.7452 0.8677 0.5830
0.8113 0.3968 0.6032
0.8677 0.7452 0.0830
```

Principal peaks in the range 2θ = 10–90°, by intensity:
2theta  d_spacing  I_rel
17.43  5.089  1000
26.55  3.357  831
33.24  2.695  586
28.93  3.087  486
33.67  2.662  473
19.76  4.493  243
36.28  2.476  232
41.95  2.154  208
54.07  1.696  194
37.27  2.413  191
52.50  1.743  161
63.42  1.467  156